Starting from a cell relaxed with PBE, the powder diffraction line list of Ac6La2Co was simulated for Cu Kα (weighted mean of Kα1 and Kα2).
Neutral-atom scattering factors, no anomalous dispersion.

Atomic structure:
a b c (Å): 4.0038 9.4272 10.1741
angles (deg): 76.69 78.72 89.97
Positions (direct):
1 Ac 0.0407 0.2179 0.4226
2 Ac 0.2790 0.6866 0.9406
3 Ac 0.3995 0.4041 0.7010
4 Ac 0.6005 0.5959 0.2990
5 Ac 0.7210 0.3134 0.0594
6 Ac 0.9593 0.7821 0.5774
7 La 0.1705 0.9674 0.1606
8 La 0.8295 0.0326 0.8394
9 Co 0.0000 0.5000 0.5000

Peak list (6 most intense, 15° ≤ 2θ ≤ 90°, low angle first)
d [Å]	two_theta	intensity
3.302	27.01	76.7
3.132	28.50	67.8
3.070	29.09	100.0
2.998	29.81	45.7
2.910	30.72	70.1
1.938	46.87	43.3



Starting from a cell relaxed with PBE, the powder diffraction line list of AcLa7Co3 was simulated for Cu Kα (weighted mean of Kα1 and Kα2).
Neutral-atom scattering factors, no anomalous dispersion.

Atomic structure:
a b c (Å): 7.9445 7.9445 6.5827
angles (deg): 90.00 90.00 120.00
Positions (direct):
1 Ac 0.0000 0.0000 0.0000
2 La 0.0037 0.5018 0.9874
3 La 0.3317 0.1658 0.5147
4 La 0.3333 0.6667 0.5090
5 La 0.4982 0.5018 0.9874
6 La 0.4982 0.9963 0.9874
7 La 0.8342 0.1658 0.5147
8 La 0.8342 0.6683 0.5147
9 Co 0.1692 0.3384 0.7469
10 Co 0.1692 0.8308 0.7469
11 Co 0.6616 0.8308 0.7469

Peak list (6 most intense, 15° ≤ 2θ ≤ 90°, low angle first)
d [Å]	two_theta	intensity
3.291	27.09	18.3
3.049	29.29	100.0
2.378	37.83	29.3
1.986	45.68	25.9
1.850	49.26	24.3
1.664	55.19	16.9